Diffraction record for Sr2Mn2SeO4. The powder diffraction line list is computed, not measured: it uses a PBE+U-relaxed structure and CuKα.

```
Sr2Mn2SeO4
1.0
9.6654 0.0000 0.0000
0.0000 10.4486 0.0000
0.0000 0.0000 6.3544
Sr Mn Se O
8 8 4 16
Direct
0.1285 0.0484 0.2348
0.1285 0.4516 0.2348
0.3715 0.5484 0.7348
0.3715 0.9516 0.7348
0.6285 0.0484 0.2652
0.6285 0.4516 0.2652
0.8715 0.5484 0.7652
0.8715 0.9516 0.7652
0.1201 0.2500 0.7250
0.1206 0.7500 0.0320
0.3794 0.2500 0.5320
0.3799 0.7500 0.2250
0.6201 0.2500 0.7750
0.6206 0.7500 0.4680
0.8794 0.2500 0.9680
0.8799 0.7500 0.2750
0.1148 0.7500 0.5907
0.3852 0.2500 0.0907
0.6148 0.7500 0.9093
0.8852 0.2500 0.4093
0.0244 0.1269 0.8980
0.0244 0.3731 0.8980
0.2312 0.1247 0.5746
0.2312 0.3753 0.5746
0.2688 0.6247 0.0746
0.2688 0.8753 0.0746
0.4756 0.6269 0.3980
0.4756 0.8731 0.3980
0.5244 0.1269 0.6020
0.5244 0.3731 0.6020
0.7312 0.1247 0.9254
0.7312 0.3753 0.9254
0.7688 0.6247 0.4254
0.7688 0.8753 0.4254
0.9756 0.6269 0.1020
0.9756 0.8731 0.1020
```

Largest 10 diffraction maxima, sorted by position, 10 to 80 degrees two-theta:
| Position (°2θ) | intensity |
| --- | --- |
| 28.82 | 100 |
| 29.24 | 17 |
| 31.67 | 39 |
| 33.00 | 20 |
| 34.87 | 38 |
| 37.21 | 22 |
| 48.00 | 18 |
| 50.43 | 14 |
| 51.52 | 16 |
| 56.00 | 27 |



Diffraction record for Ca4Mg3Si8NiO24. The powder diffraction line list is computed, not measured: it uses a PBE+U-relaxed structure and CuKα.

```
Ca4Mg3Si8NiO24
1.0
5.3214 0.0000 0.0000
0.0000 9.0331 0.0000
-2.6069 0.0000 9.4988
Ca Mg Si Ni O
4 3 8 1 24
Direct
0.0000 0.0000 0.0000
0.0000 0.0980 0.5000
0.5000 0.4994 0.5000
0.5000 0.5978 0.0000
0.0000 0.3910 0.0000
0.0000 0.7060 0.5000
0.5000 0.8914 0.5000
0.1928 0.3911 0.7133
0.1926 0.7061 0.2134
0.3080 0.2060 0.2867
0.3079 0.8913 0.7867
0.6920 0.2060 0.7133
0.6921 0.8913 0.2133
0.8072 0.3911 0.2867
0.8074 0.7061 0.7866
0.5000 0.2060 0.0000
0.1058 0.3172 0.3499
0.1057 0.7802 0.8499
0.2082 0.5467 0.6369
0.2081 0.5506 0.1369
0.2243 0.2122 0.1157
0.2247 0.8852 0.6158
0.2752 0.3854 0.8843
0.2752 0.7121 0.3842
0.2911 0.0468 0.8629
0.2917 0.0506 0.3631
0.3942 0.2801 0.6500
0.3942 0.8172 0.1500
0.6058 0.2801 0.3500
0.6058 0.8172 0.8500
0.7083 0.0506 0.6369
0.7089 0.0468 0.1371
0.7248 0.3854 0.1157
0.7248 0.7121 0.6158
0.7753 0.8852 0.3842
0.7757 0.2122 0.8843
0.7918 0.5467 0.3631
0.7919 0.5506 0.8631
0.8942 0.3172 0.6501
0.8943 0.7802 0.1501
```

Largest 10 diffraction maxima, sorted by position, 10 to 80 degrees two-theta:
| Position (°2θ) | intensity |
| --- | --- |
| 27.25 | 21 |
| 29.48 | 100 |
| 29.90 | 32 |
| 30.48 | 27 |
| 34.54 | 31 |
| 35.08 | 41 |
| 35.24 | 43 |
| 41.82 | 22 |
| 55.87 | 18 |
| 64.73 | 20 |



Repeat the first record exactly.
Diffraction record for Sr2Mn2SeO4. The powder diffraction line list is computed, not measured: it uses a PBE+U-relaxed structure and CuKα.

```
Sr2Mn2SeO4
1.0
9.6654 0.0000 0.0000
0.0000 10.4486 0.0000
0.0000 0.0000 6.3544
Sr Mn Se O
8 8 4 16
Direct
0.1285 0.0484 0.2348
0.1285 0.4516 0.2348
0.3715 0.5484 0.7348
0.3715 0.9516 0.7348
0.6285 0.0484 0.2652
0.6285 0.4516 0.2652
0.8715 0.5484 0.7652
0.8715 0.9516 0.7652
0.1201 0.2500 0.7250
0.1206 0.7500 0.0320
0.3794 0.2500 0.5320
0.3799 0.7500 0.2250
0.6201 0.2500 0.7750
0.6206 0.7500 0.4680
0.8794 0.2500 0.9680
0.8799 0.7500 0.2750
0.1148 0.7500 0.5907
0.3852 0.2500 0.0907
0.6148 0.7500 0.9093
0.8852 0.2500 0.4093
0.0244 0.1269 0.8980
0.0244 0.3731 0.8980
0.2312 0.1247 0.5746
0.2312 0.3753 0.5746
0.2688 0.6247 0.0746
0.2688 0.8753 0.0746
0.4756 0.6269 0.3980
0.4756 0.8731 0.3980
0.5244 0.1269 0.6020
0.5244 0.3731 0.6020
0.7312 0.1247 0.9254
0.7312 0.3753 0.9254
0.7688 0.6247 0.4254
0.7688 0.8753 0.4254
0.9756 0.6269 0.1020
0.9756 0.8731 0.1020
```

Largest 10 diffraction maxima, sorted by position, 10 to 80 degrees two-theta:
| Position (°2θ) | intensity |
| --- | --- |
| 28.82 | 100 |
| 29.24 | 17 |
| 31.67 | 39 |
| 33.00 | 20 |
| 34.87 | 38 |
| 37.21 | 22 |
| 48.00 | 18 |
| 50.43 | 14 |
| 51.52 | 16 |
| 56.00 | 27 |